Diffraction record for PmSmThCd. The X-ray diffraction stick pattern is computed, not measured: it uses a DFT-relaxed cell (PBE, Alexandria) and λ = 1.5418 Å (Cu Kα).
Lines closer than 0.1° are merged.

Structure:
a b c (Å): 3.650 3.650 9.055
angles (deg): 90.00 90.00 90.00
Fractional coordinates of all 4 atoms:
Pm 0.000 0.000 0.000
Sm 0.000 0.000 0.467
Th 0.500 0.500 0.733
Cd 0.500 0.500 0.235

Peak list (10 most intense, 15 to 90 degrees two-theta, low angle first)
two_theta	I (rel.)
26.3	7.4
31.5	100.0
34.8	39.2
39.8	12.5
50.0	14.1
53.9	20.8
60.3	31.5
65.7	11.4
67.1	9.7
88.2	9.7

=====

Diffraction record for PmCdSn3. The X-ray diffraction stick pattern is computed, not measured: it uses a DFT-relaxed cell (PBE, Alexandria) and λ = 1.5418 Å (Cu Kα).
Lines closer than 0.1° are merged.

Structure:
a b c (Å): 13.218 6.336 6.363
angles (deg): 90.00 90.00 90.00
Fractional coordinates of all 20 atoms:
Pm 0.190 0.006 0.250
Pm 0.190 0.494 0.750
Pm 0.810 0.506 0.250
Pm 0.810 0.994 0.750
Cd 0.385 0.250 0.000
Cd 0.385 0.250 0.500
Cd 0.615 0.750 0.000
Cd 0.615 0.750 0.500
Sn 0.000 0.250 0.000
Sn 0.000 0.250 0.500
Sn 0.000 0.750 0.000
Sn 0.000 0.750 0.500
Sn 0.228 0.511 0.250
Sn 0.228 0.989 0.750
Sn 0.420 0.697 0.750
Sn 0.420 0.803 0.250
Sn 0.580 0.197 0.750
Sn 0.580 0.303 0.250
Sn 0.772 0.011 0.250
Sn 0.772 0.489 0.750

Peak list (10 most intense, 15 to 90 degrees two-theta, low angle first)
two_theta	I (rel.)
31.2	52.3
31.3	100.0
32.2	26.1
33.9	70.8
34.3	46.5
34.8	64.6
34.9	59.4
37.7	30.6
40.2	50.8
53.6	34.7

=====

Diffraction record for Pm2Cd3Sn. The X-ray diffraction stick pattern is computed, not measured: it uses a DFT-relaxed cell (PBE, Alexandria) and λ = 1.5418 Å (Cu Kα).
Lines closer than 0.1° are merged.

Structure:
a b c (Å): 9.911 9.338 6.182
angles (deg): 76.38 66.30 37.32
Fractional coordinates of all 12 atoms:
Pm 0.247 0.753 0.753
Pm 0.250 0.250 0.250
Pm 0.750 0.750 0.750
Pm 0.753 0.247 0.247
Cd 0.165 0.165 0.835
Cd 0.167 0.669 0.331
Cd 0.331 0.833 0.167
Cd 0.669 0.167 0.833
Cd 0.833 0.331 0.669
Cd 0.835 0.835 0.165
Sn 0.334 0.334 0.666
Sn 0.666 0.666 0.334

Peak list (10 most intense, 15 to 90 degrees two-theta, low angle first)
two_theta	I (rel.)
32.0	100.0
36.2	74.4
49.1	29.9
49.4	10.1
62.5	28.7
62.8	29.2
65.2	8.7
81.5	6.8
85.7	8.1
86.0	12.5

=====

Diffraction record for Pm5CdSn8. The X-ray diffraction stick pattern is computed, not measured: it uses a DFT-relaxed cell (PBE, Alexandria) and λ = 1.5418 Å (Cu Kα).
Lines closer than 0.1° are merged.

Structure:
a b c (Å): 8.104 8.104 8.104
angles (deg): 107.15 107.15 114.23
Fractional coordinates of all 14 atoms:
Pm 0.000 0.000 0.000
Pm 0.252 0.652 0.165
Pm 0.348 0.513 0.600
Pm 0.487 0.087 0.835
Pm 0.913 0.748 0.400
Cd 0.750 0.250 0.500
Sn 0.102 0.689 0.776
Sn 0.142 0.243 0.779
Sn 0.311 0.087 0.413
Sn 0.464 0.363 0.221
Sn 0.637 0.858 0.101
Sn 0.674 0.898 0.587
Sn 0.757 0.536 0.899
Sn 0.913 0.326 0.224

Peak list (10 most intense, 15 to 90 degrees two-theta, low angle first)
two_theta	I (rel.)
29.3	100.0
29.6	85.7
31.9	65.2
35.1	60.1
35.9	69.4
37.1	77.8
47.0	35.0
59.3	23.0
60.9	21.9
72.8	24.3

=====

Diffraction record for SrPmCd. The X-ray diffraction stick pattern is computed, not measured: it uses a DFT-relaxed cell (PBE, Alexandria) and λ = 1.5418 Å (Cu Kα).
Lines closer than 0.1° are merged.

Structure:
a b c (Å): 14.495 14.495 14.495
angles (deg): 164.51 164.51 21.98
Fractional coordinates of all 6 atoms:
Sr 0.071 0.071 0.000
Sr 0.929 0.929 0.000
Pm 0.208 0.208 0.000
Pm 0.792 0.792 0.000
Cd 0.355 0.355 0.000
Cd 0.645 0.645 0.000

Peak list (10 most intense, 15 to 90 degrees two-theta, low angle first)
two_theta	I (rel.)
27.7	13.2
31.8	100.0
32.4	48.9
33.0	7.7
44.6	8.8
46.5	17.7
56.2	17.5
57.4	36.2
66.4	10.5
77.2	7.8

=====

Diffraction record for Tb5Pm4Cd. The X-ray diffraction stick pattern is computed, not measured: it uses a DFT-relaxed cell (PBE, Alexandria) and λ = 1.5418 Å (Cu Kα).
Lines closer than 0.1° are merged.

Structure:
a b c (Å): 3.603 4.929 17.810
angles (deg): 90.00 90.00 90.00
Fractional coordinates of all 10 atoms:
Tb 0.000 0.000 0.000
Tb 0.000 0.000 0.207
Tb 0.000 0.000 0.410
Tb 0.000 0.000 0.590
Tb 0.000 0.000 0.793
Pm 0.500 0.500 0.103
Pm 0.500 0.500 0.304
Pm 0.500 0.500 0.696
Pm 0.500 0.500 0.897
Cd 0.500 0.500 0.500

Peak list (10 most intense, 15 to 90 degrees two-theta, low angle first)
two_theta	I (rel.)
30.7	100.0
31.0	94.5
35.4	66.0
36.5	31.7
50.7	12.4
51.8	44.9
60.6	27.9
61.0	24.4
62.1	13.4
62.2	12.8

=====

Diffraction record for Tb2Pm2Cd. The X-ray diffraction stick pattern is computed, not measured: it uses a DFT-relaxed cell (PBE, Alexandria) and λ = 1.5418 Å (Cu Kα).
Lines closer than 0.1° are merged.

Structure:
a b c (Å): 12.909 12.909 12.909
angles (deg): 156.85 156.85 32.97
Fractional coordinates of all 10 atoms:
Tb 0.054 0.304 0.750
Tb 0.304 0.054 0.250
Tb 0.696 0.946 0.750
Tb 0.946 0.696 0.250
Pm 0.203 0.453 0.750
Pm 0.453 0.203 0.250
Pm 0.547 0.797 0.750
Pm 0.797 0.547 0.250
Cd 0.375 0.625 0.750
Cd 0.625 0.375 0.250

Peak list (10 most intense, 15 to 90 degrees two-theta, low angle first)
two_theta	I (rel.)
25.4	24.0
28.9	10.2
32.7	100.0
34.6	47.5
45.7	11.7
49.8	17.0
57.1	14.7
57.9	8.1
60.8	33.3
68.5	8.4

=====

Diffraction record for Tb7Pm4Cd. The X-ray diffraction stick pattern is computed, not measured: it uses a DFT-relaxed cell (PBE, Alexandria) and λ = 1.5418 Å (Cu Kα).
Lines closer than 0.1° are merged.

Structure:
a b c (Å): 3.597 3.597 34.353
angles (deg): 90.00 90.00 120.00
Fractional coordinates of all 12 atoms:
Tb 0.000 0.000 0.000
Tb 0.000 0.000 0.255
Tb 0.000 0.000 0.745
Tb 0.333 0.667 0.171
Tb 0.333 0.667 0.427
Tb 0.667 0.333 0.573
Tb 0.667 0.333 0.829
Pm 0.333 0.667 0.659
Pm 0.333 0.667 0.914
Pm 0.667 0.333 0.086
Pm 0.667 0.333 0.341
Cd 0.000 0.000 0.500

Peak list (10 most intense, 15 to 90 degrees two-theta, low angle first)
two_theta	I (rel.)
30.5	100.0
31.2	25.9
35.6	61.9
50.8	24.8
51.7	15.9
60.4	14.3
60.8	23.2
63.5	11.5
82.7	11.8
85.5	10.3

=====

What is the formula in the second record? PmCdSn3